For ZrNpCu, a structure optimized by DFT (GGA-PBE) gives the simulated powder XRD pattern in this record (Cu Kα (weighted mean of Kα1 and Kα2)).
Intensities are scaled so that the largest is 100.

Crystal structure
Lattice parameters (Å, degrees): 5.005 8.982 10.511 90.00 90.00 90.00
Space group Fmmm (No. 69)
Asymmetric unit:
Zr: 0.000 0.000 0.150 (multiplicity 8)
Np: 0.000 0.158 0.500 (multiplicity 8)
Cu: 0.250 0.250 0.250 (multiplicity 8)

Most intense lines, 2θ from 10° to 90°, in order of rising 2θ:
index  d [Å]  I (rel.)
0 0 2  5.255  28
1 1 1  4.037  17
1 1 3  2.734  61
1 3 1  2.497  100
0 2 4  2.268  22
2 0 2  2.259  29
0 4 2  2.065  19
2 2 2  2.018  20
3 3 1  1.444  16
2 4 4  1.410  15